Theoretical X-ray powder pattern
Compound: ZnPSeBr2
Radiation: Cu Ka
Structure: a structure optimized by DFT (GGA-PBE)

Most intense lines, 10 to 90 degrees two-theta, in order of rising 2θ:
2θ (°), I/Imax
30.68, 1000
35.53, 496
35.67, 245
51.13, 170
51.23, 337
60.82, 273
63.90, 171
86.08, 152

Crystal structure
```
data_ZnPSeBr2
_space_group_name_H-M_alt 'P 4/m m m'
_space_group_IT_number 123
_space_group_name_Hall '-P 4 2'
_cell_length_a 5.0531
_cell_length_b 5.0531
_cell_length_c 5.0343
_cell_angle_alpha 90.00
_cell_angle_beta 90.00
_cell_angle_gamma 90.00
loop_
_atom_site_label
_atom_site_fract_x
_atom_site_fract_y
_atom_site_fract_z
_atom_site_occupancy
Zn1 0.0000 0.0000 0.0000 1
P1 0.5000 0.5000 0.5000 1
Se1 0.5000 0.5000 0.0000 1
Br1 0.0000 0.5000 0.5000 1
```



Theoretical X-ray powder pattern
Compound: Ce5Cu3Au3
Radiation: Cu Ka
Structure: a structure optimized by DFT (GGA-PBE)

Most intense lines, 10 to 90 degrees two-theta, in order of rising 2θ:
2θ (°), I/Imax
32.92, 917
35.17, 1000
39.82, 294
41.75, 210
48.94, 435
57.86, 131
60.25, 198
71.13, 201

Crystal structure
```
data_Ce5Cu3Au3
_space_group_name_H-M_alt 'P -6 2 m'
_space_group_IT_number 189
_space_group_name_Hall 'P -6 -2'
_cell_length_a 9.4240
_cell_length_b 9.4240
_cell_length_c 3.0357
_cell_angle_alpha 90.00
_cell_angle_beta 90.00
_cell_angle_gamma 120.00
loop_
_atom_site_label
_atom_site_fract_x
_atom_site_fract_y
_atom_site_fract_z
_atom_site_occupancy
Ce1 0.0000 0.3404 0.0000 1
Ce2 0.3333 0.6667 0.0000 1
Cu1 0.0000 0.8520 0.0000 1
Au1 0.0000 0.6254 0.5000 1
```



Theoretical X-ray powder pattern
Compound: Co2Hg
Radiation: Cu Ka
Structure: a structure optimized by DFT (GGA-PBE)

Most intense lines, 10 to 90 degrees two-theta, in order of rising 2θ:
2θ (°), I/Imax
24.83, 530
30.96, 883
36.00, 634
39.27, 404
39.94, 435
42.84, 1000
45.81, 377
48.19, 359

Crystal structure
```
data_Co2Hg
_space_group_name_H-M_alt 'C m c m'
_space_group_IT_number 63
_space_group_name_Hall '-C 2c 2'
_cell_length_a 2.7835
_cell_length_b 16.8845
_cell_length_c 3.9615
_cell_angle_alpha 90.00
_cell_angle_beta 90.00
_cell_angle_gamma 90.00
loop_
_atom_site_label
_atom_site_fract_x
_atom_site_fract_y
_atom_site_fract_z
_atom_site_occupancy
Co1 0.0000 0.0440 0.2500 1
Co2 0.0000 0.4276 0.2500 1
Hg1 0.0000 0.3103 0.7500 1
```